Entry 1:
The following is a theoretical XRD peak list of CaPm4Si2. It was derived from a crystal structure in Alexandria, relaxed with PBE, using Cu Kα (λ = 1.5418 Å).
Neutral-atom scattering factors, no anomalous dispersion.

a = 9.841 Å, b = 9.841 Å, c = 4.211 Å
α = 90.00°, β = 90.00°, γ = 90.00°
Space group P4_2/mnm (No. 136)
Asymmetric unit:
Ca  0.000  0.000  0.000
Pm  0.109  0.334  0.500
Si  0.170  0.830  0.500

Principal peaks in the range 2θ from 10° to 90°, by angle:
2θ 12.72, intensity 49, hkl 1 1 0; 2θ 24.71, intensity 56, hkl 1 1 1; 2θ 28.69, intensity 49, hkl 3 1 0; 2θ 29.36, intensity 39, hkl 2 1 1; 2θ 33.41, intensity 100, hkl 2 2 1; 2θ 35.88, intensity 30, hkl 3 1 1; 2θ 36.52, intensity 22, hkl 4 0 0; 2θ 37.69, intensity 23, hkl 4 1 0; 2θ 42.96, intensity 20, hkl 0 0 2; 2θ 51.23, intensity 29, hkl 5 0 1



Entry 2:
The following is a theoretical XRD peak list of HoTcGe2Ru. It was derived from a crystal structure in Alexandria, relaxed with PBE, using Cu Kα (λ = 1.5418 Å).
Neutral-atom scattering factors, no anomalous dispersion.

a = 4.256 Å, b = 4.256 Å, c = 10.009 Å
α = 90.00°, β = 90.00°, γ = 90.00°
Space group I-4m2 (No. 119)
Asymmetric unit:
Ho  0.000  0.000  0.000
Tc  0.000  0.500  0.750
Ge  0.000  0.000  0.373
Ru  0.000  0.500  0.250

Principal peaks in the range 2θ from 10° to 90°, by angle:
2θ 34.15, intensity 60, hkl 1 0 3; 2θ 34.78, intensity 100, hkl 1 1 2; 2θ 42.48, intensity 58, hkl 2 0 0; 2θ 47.24, intensity 11, hkl 1 1 4; 2θ 50.38, intensity 18, hkl 1 0 5; 2θ 55.59, intensity 29, hkl 2 1 3; 2θ 61.63, intensity 19, hkl 2 2 0; 2θ 63.79, intensity 18, hkl 1 1 6; 2θ 67.96, intensity 15, hkl 2 1 5; 2θ 72.76, intensity 23, hkl 3 1 2



Entry 3:
The following is a theoretical XRD peak list of Nd4HoTm5. It was derived from a crystal structure in Alexandria, relaxed with PBE, using Cu Kα (λ = 1.5418 Å).
Neutral-atom scattering factors, no anomalous dispersion.

a = 3.508 Å, b = 8.691 Å, c = 11.258 Å
α = 89.91°, β = 90.00°, γ = 78.43°
Space group P-1 (No. 2)
Asymmetric unit:
Nd  0.032  0.434  0.249
Nd  0.343  0.818  0.250
Ho  0.500  0.500  0.500
Tm  0.172  0.154  0.047
Tm  0.173  0.153  0.452
Tm  0.500  0.500  0.000

Principal peaks in the range 2θ from 10° to 90°, by angle:
2θ 25.95, intensity 18, hkl 0 1 -3; 2θ 27.14, intensity 21, hkl 1 1 -1; 2θ 31.52, intensity 28, hkl 0 3 0; 2θ 31.79, intensity 46, hkl 0 0 4; 2θ 34.00, intensity 100, hkl 1 2 -2; 2θ 45.38, intensity 12, hkl 0 3 -4; 2θ 46.12, intensity 10, hkl 1 4 1; 2θ 48.33, intensity 15, hkl 1 1 5; 2θ 52.15, intensity 9, hkl 2 1 0; 2θ 62.39, intensity 13, hkl 2 1 4



Entry 4:
The following is a theoretical XRD peak list of Sr2Li17Tl3. It was derived from a crystal structure in Alexandria, relaxed with PBE, using Cu Kα (λ = 1.5418 Å).
Neutral-atom scattering factors, no anomalous dispersion.

a = 11.0861 Å, b = 11.0861 Å, c = 15.3031 Å
α = 90.00°, β = 90.00°, γ = 120.00°
Space group R-3m (No. 166, hexagonal axes)
Asymmetric unit:
Sr  0.0000  0.0000  0.1782
Li  0.0000  0.0000  0.4089
Li  0.0000  0.2553  0.5000
Li  0.0000  0.5000  0.0000
Li  0.0202  0.5101  0.6805
Tl  0.0000  0.5000  0.5000

Principal peaks in the range 2θ from 10° to 90°, by angle:
2θ 10.88, intensity 89, hkl 1 0 1; 2θ 14.80, intensity 59, hkl 0 1 2; 2θ 17.38, intensity 92, hkl 0 0 3; 2θ 19.38, intensity 100, hkl 0 2 1; 2θ 21.86, intensity 65, hkl 2 0 2; 2θ 27.20, intensity 34, hkl 1 2 2; 2θ 29.86, intensity 40, hkl 0 2 4; 2θ 32.30, intensity 73, hkl 2 2 0; 2θ 36.91, intensity 78, hkl 2 2 3; 2θ 48.51, intensity 47, hkl 2 2 6



Entry 5:
The following is a theoretical XRD peak list of Ce5Mg2Pb4. It was derived from a crystal structure in Alexandria, relaxed with PBE, using Cu Kα (λ = 1.5418 Å).
Neutral-atom scattering factors, no anomalous dispersion.

a = 4.400 Å, b = 7.463 Å, c = 20.976 Å
α = 90.00°, β = 90.00°, γ = 90.00°
Space group Immm (No. 71)
Asymmetric unit:
Ce  0.000  0.000  0.000
Ce  0.000  0.312  0.341
Mg  0.000  0.500  0.072
Pb  0.000  0.209  0.500
Pb  0.000  0.500  0.205

Principal peaks in the range 2θ from 10° to 90°, by angle:
2θ 20.62, intensity 32, hkl 1 0 1; 2θ 24.98, intensity 100, hkl 1 1 2; 2θ 25.48, intensity 67, hkl 0 0 6; 2θ 31.73, intensity 100, hkl 1 2 1; 2θ 36.27, intensity 59, hkl 1 0 7; 2θ 38.21, intensity 76, hkl 1 2 5; 2θ 38.41, intensity 60, hkl 0 3 3; 2θ 41.02, intensity 41, hkl 2 0 0; 2θ 48.88, intensity 36, hkl 2 0 6; 2θ 57.45, intensity 37, hkl 2 3 3



Entry 6:
The following is a theoretical XRD peak list of NaTl2Bi2Pb. It was derived from a crystal structure in Alexandria, relaxed with PBE, using Cu Kα (λ = 1.5418 Å).
Neutral-atom scattering factors, no anomalous dispersion.

a = 5.369 Å, b = 9.904 Å, c = 7.365 Å
α = 90.00°, β = 90.00°, γ = 90.00°
Space group Pmc2_1 (No. 26)
Asymmetric unit:
Na  0.000  0.036  0.000
Tl  0.000  0.322  0.349
Tl  0.500  0.461  0.064
Bi  0.000  0.347  0.797
Bi  0.500  0.146  0.263
Pb  0.500  0.177  0.700

Principal peaks in the range 2θ from 10° to 90°, by angle:
2θ 24.17, intensity 22, hkl 0 0 2; 2θ 29.41, intensity 38, hkl 1 0 2; 2θ 30.24, intensity 26, hkl 0 2 2; 2θ 30.79, intensity 71, hkl 1 1 2; 2θ 31.82, intensity 100, hkl 1 3 0; 2θ 33.38, intensity 53, hkl 2 0 0; 2θ 36.55, intensity 18, hkl 0 3 2; 2θ 40.35, intensity 26, hkl 1 3 2; 2θ 50.35, intensity 21, hkl 2 3 2; 2θ 58.68, intensity 18, hkl 3 3 0